# TaZn2Co3
Calculated powder diffractogram, Cu Kα X-rays. Input: a GGA-PBE-relaxed structure.
Peak positions follow from Bragg's law for the DFT cell and can differ from measured ones.

Largest 12 diffraction maxima, by angle, 10° ≤ 2θ ≤ 90°:
2θ = 15.39°, intensity 14
2θ = 22.35°, intensity 4
2θ = 27.25°, intensity 4
2θ = 30.16°, intensity 10
2θ = 31.07°, intensity 5
2θ = 34.02°, intensity 9
2θ = 43.17°, intensity 52
2θ = 43.85°, intensity 100
2θ = 62.70°, intensity 16
2θ = 64.78°, intensity 7
2θ = 79.64°, intensity 31
2θ = 81.06°, intensity 15

Structural model:
```
TaZn2Co3
1.0
2.097 -6.283 0.000
2.097 6.283 0.000
0.000 0.000 5.757
Ta Zn Co
2 4 6
Direct
0.159 0.841 0.000
0.841 0.159 0.000
0.169 0.831 0.500
0.500 0.500 0.000
0.500 0.500 0.500
0.831 0.169 0.500
0.000 0.000 0.262
0.000 0.000 0.738
0.331 0.669 0.248
0.331 0.669 0.752
0.669 0.331 0.248
0.669 0.331 0.752
```


# Ta4ZnCo
Calculated powder diffractogram, Cu Kα X-rays. Input: a GGA-PBE-relaxed structure.
Peak positions follow from Bragg's law for the DFT cell and can differ from measured ones.

Largest 12 diffraction maxima, by angle, 10° ≤ 2θ ≤ 90°:
2θ = 35.90°, intensity 15
2θ = 36.81°, intensity 100
2θ = 41.47°, intensity 15
2θ = 45.87°, intensity 24
2θ = 46.48°, intensity 15
2θ = 59.58°, intensity 5
2θ = 63.05°, intensity 5
2θ = 64.14°, intensity 11
2θ = 65.11°, intensity 19
2θ = 71.09°, intensity 9
2θ = 74.73°, intensity 13
2θ = 85.89°, intensity 11

Structural model:
```
Ta4ZnCo
1.0
6.256 0.000 0.000
0.000 6.256 0.000
0.000 0.000 5.004
Ta Zn Co
8 2 2
Direct
0.146 0.331 0.000
0.146 0.669 0.500
0.331 0.146 0.500
0.331 0.854 0.000
0.669 0.146 0.000
0.669 0.854 0.500
0.854 0.331 0.500
0.854 0.669 0.000
0.500 0.500 0.250
0.500 0.500 0.750
0.000 0.000 0.250
0.000 0.000 0.750
```


# Tb5Co2
Calculated powder diffractogram, Cu Kα X-rays. Input: a GGA-PBE-relaxed structure.
Peak positions follow from Bragg's law for the DFT cell and can differ from measured ones.

Largest 12 diffraction maxima, by angle, 10° ≤ 2θ ≤ 90°:
2θ = 29.51°, intensity 55
2θ = 31.17°, intensity 61
2θ = 31.38°, intensity 100
2θ = 32.33°, intensity 26
2θ = 32.60°, intensity 61
2θ = 33.69°, intensity 37
2θ = 35.32°, intensity 26
2θ = 35.65°, intensity 32
2θ = 36.41°, intensity 22
2θ = 41.69°, intensity 22
2θ = 55.02°, intensity 25
2θ = 57.49°, intensity 21

Structural model:
```
Tb5Co2
1.0
8.041 -3.157 0.000
8.041 3.157 0.000
-0.805 0.000 6.876
Tb Co
10 4
Direct
0.069 0.931 0.750
0.146 0.284 0.315
0.284 0.146 0.815
0.298 0.512 0.087
0.488 0.702 0.413
0.512 0.298 0.587
0.702 0.488 0.913
0.716 0.854 0.185
0.854 0.716 0.685
0.931 0.069 0.250
0.100 0.677 0.428
0.323 0.900 0.072
0.677 0.100 0.928
0.900 0.323 0.572
```


# TbCo6
Calculated powder diffractogram, Cu Kα X-rays. Input: a GGA-PBE-relaxed structure.
Peak positions follow from Bragg's law for the DFT cell and can differ from measured ones.

Largest 12 diffraction maxima, by angle, 10° ≤ 2θ ≤ 90°:
2θ = 23.49°, intensity 21
2θ = 33.09°, intensity 21
2θ = 37.30°, intensity 33
2θ = 38.44°, intensity 59
2θ = 40.37°, intensity 100
2θ = 40.52°, intensity 76
2θ = 41.75°, intensity 27
2θ = 44.12°, intensity 25
2θ = 45.13°, intensity 23
2θ = 47.63°, intensity 25
2θ = 48.32°, intensity 28
2θ = 69.36°, intensity 23

Structural model:
```
TbCo6
1.0
7.827 0.000 0.000
0.000 4.821 0.000
0.000 0.000 9.816
Tb Co
4 24
Direct
0.239 0.250 0.059
0.261 0.750 0.559
0.739 0.250 0.441
0.761 0.750 0.941
0.066 0.750 0.092
0.069 0.010 0.308
0.069 0.490 0.308
0.091 0.250 0.523
0.141 0.750 0.853
0.184 0.250 0.756
0.316 0.750 0.256
0.359 0.250 0.353
0.409 0.750 0.023
0.431 0.510 0.808
0.431 0.990 0.808
0.434 0.250 0.592
0.566 0.750 0.408
0.569 0.010 0.192
0.569 0.490 0.192
0.591 0.250 0.977
0.641 0.750 0.647
0.684 0.250 0.744
0.816 0.750 0.244
0.859 0.250 0.147
0.909 0.750 0.477
0.931 0.510 0.692
0.931 0.990 0.692
0.934 0.250 0.908
```


# Tb3Co2
Calculated powder diffractogram, Cu Kα X-rays. Input: a GGA-PBE-relaxed structure.
Peak positions follow from Bragg's law for the DFT cell and can differ from measured ones.

Largest 12 diffraction maxima, by angle, 10° ≤ 2θ ≤ 90°:
2θ = 29.21°, intensity 62
2θ = 32.85°, intensity 100
2θ = 33.53°, intensity 69
2θ = 36.91°, intensity 25
2θ = 37.30°, intensity 29
2θ = 38.39°, intensity 17
2θ = 45.05°, intensity 24
2θ = 46.27°, intensity 48
2θ = 55.05°, intensity 20
2θ = 55.70°, intensity 21
2θ = 58.30°, intensity 28
2θ = 60.61°, intensity 24

Structural model:
```
Tb3Co2
1.0
1.964 -7.306 0.000
1.964 7.306 0.000
0.000 0.000 3.920
Tb Co
3 2
Direct
0.000 0.000 0.000
0.349 0.651 0.500
0.651 0.349 0.500
0.203 0.797 0.000
0.797 0.203 0.000
```


# TbCoTc
Calculated powder diffractogram, Cu Kα X-rays. Input: a GGA-PBE-relaxed structure.
Peak positions follow from Bragg's law for the DFT cell and can differ from measured ones.

Largest 12 diffraction maxima, by angle, 10° ≤ 2θ ≤ 90°:
2θ = 21.35°, intensity 17
2θ = 32.90°, intensity 42
2θ = 33.92°, intensity 100
2θ = 39.14°, intensity 67
2θ = 39.56°, intensity 83
2θ = 39.86°, intensity 35
2θ = 40.74°, intensity 29
2θ = 41.69°, intensity 100
2θ = 43.49°, intensity 30
2θ = 59.40°, intensity 20
2θ = 64.79°, intensity 27
2θ = 71.37°, intensity 46

Structural model:
```
TbCoTc
1.0
-2.484 2.722 3.810
2.484 -2.722 3.810
2.484 2.722 -3.810
Tb Co Tc
2 2 2
Direct
0.370 0.120 0.250
0.630 0.880 0.750
0.000 0.500 0.500
0.500 0.500 0.000
0.000 0.000 0.500
0.000 0.500 0.000
```


# Tb8Co2Tc
Calculated powder diffractogram, Cu Kα X-rays. Input: a GGA-PBE-relaxed structure.
Peak positions follow from Bragg's law for the DFT cell and can differ from measured ones.

Largest 12 diffraction maxima, by angle, 10° ≤ 2θ ≤ 90°:
2θ = 27.12°, intensity 37
2θ = 27.54°, intensity 34
2θ = 31.28°, intensity 62
2θ = 31.47°, intensity 92
2θ = 32.25°, intensity 88
2θ = 32.96°, intensity 100
2θ = 34.13°, intensity 86
2θ = 35.50°, intensity 33
2θ = 37.05°, intensity 56
2θ = 39.80°, intensity 63
2θ = 55.16°, intensity 35
2θ = 56.88°, intensity 39

Structural model:
```
Tb8Co2Tc
1.0
4.078 -6.238 0.000
4.078 6.238 0.000
-1.877 0.000 5.533
Tb Co Tc
8 2 1
Direct
0.000 0.000 0.000
0.030 0.288 0.599
0.152 0.583 0.190
0.288 0.030 0.599
0.439 0.697 0.790
0.583 0.152 0.190
0.697 0.439 0.790
0.724 0.724 0.377
0.054 0.667 0.688
0.667 0.054 0.688
0.360 0.360 0.103
```


# Tb5Co2Te
Calculated powder diffractogram, Cu Kα X-rays. Input: a GGA-PBE-relaxed structure.
Peak positions follow from Bragg's law for the DFT cell and can differ from measured ones.

Largest 12 diffraction maxima, by angle, 10° ≤ 2θ ≤ 90°:
2θ = 26.94°, intensity 39
2θ = 31.30°, intensity 44
2θ = 32.96°, intensity 100
2θ = 33.20°, intensity 15
2θ = 35.54°, intensity 43
2θ = 37.25°, intensity 75
2θ = 42.74°, intensity 26
2θ = 55.33°, intensity 19
2θ = 58.13°, intensity 26
2θ = 67.84°, intensity 24
2θ = 69.55°, intensity 16
2θ = 83.93°, intensity 14

Structural model:
```
Tb5Co2Te
1.0
-3.816 3.816 6.739
3.816 -3.816 6.739
3.816 3.816 -6.739
Tb Co Te
10 4 2
Direct
0.000 0.000 0.000
0.023 0.523 0.811
0.212 0.023 0.500
0.288 0.788 0.811
0.477 0.288 0.500
0.500 0.500 0.000
0.523 0.712 0.500
0.712 0.212 0.189
0.788 0.977 0.500
0.977 0.477 0.189
0.139 0.361 0.500
0.361 0.861 0.223
0.639 0.139 0.777
0.861 0.639 0.500
0.250 0.250 0.000
0.750 0.750 0.000
```


# Tb12Co6Te
Calculated powder diffractogram, Cu Kα X-rays. Input: a GGA-PBE-relaxed structure.
Peak positions follow from Bragg's law for the DFT cell and can differ from measured ones.

Largest 12 diffraction maxima, by angle, 10° ≤ 2θ ≤ 90°:
2θ = 28.96°, intensity 49
2θ = 31.79°, intensity 56
2θ = 34.41°, intensity 100
2θ = 36.87°, intensity 21
2θ = 47.55°, intensity 27
2θ = 54.90°, intensity 37
2θ = 56.63°, intensity 13
2θ = 58.33°, intensity 40
2θ = 67.98°, intensity 20
2θ = 82.82°, intensity 11
2θ = 84.26°, intensity 17
2θ = 85.70°, intensity 19

Structural model:
```
Tb12Co6Te
1.0
-4.876 4.876 4.876
4.876 -4.876 4.876
4.876 4.876 -4.876
Tb Co Te
12 6 1
Direct
0.110 0.307 0.803
0.197 0.504 0.307
0.197 0.890 0.693
0.307 0.197 0.504
0.307 0.803 0.110
0.496 0.693 0.803
0.504 0.307 0.197
0.693 0.197 0.890
0.693 0.803 0.496
0.803 0.110 0.307
0.803 0.496 0.693
0.890 0.693 0.197
0.112 0.500 0.612
0.388 0.888 0.500
0.500 0.388 0.888
0.500 0.612 0.112
0.612 0.112 0.500
0.888 0.500 0.388
0.000 0.000 0.000
```


# Tb7Tl2Co2
Calculated powder diffractogram, Cu Kα X-rays. Input: a GGA-PBE-relaxed structure.
Peak positions follow from Bragg's law for the DFT cell and can differ from measured ones.

Largest 12 diffraction maxima, by angle, 10° ≤ 2θ ≤ 90°:
2θ = 27.42°, intensity 17
2θ = 27.53°, intensity 22
2θ = 29.05°, intensity 25
2θ = 30.03°, intensity 100
2θ = 34.08°, intensity 64
2θ = 34.25°, intensity 39
2θ = 36.01°, intensity 18
2θ = 37.70°, intensity 22
2θ = 39.05°, intensity 20
2θ = 39.60°, intensity 17
2θ = 47.71°, intensity 22
2θ = 63.65°, intensity 16

Structural model:
```
Tb7Tl2Co2
1.0
-1.906 7.804 4.988
1.906 -7.804 4.988
1.906 7.804 -4.988
Tb Tl Co
7 2 2
Direct
0.000 0.000 0.000
0.289 0.389 0.900
0.298 0.627 0.671
0.489 0.389 0.100
0.589 0.201 0.388
0.813 0.201 0.612
0.956 0.627 0.329
0.128 0.899 0.228
0.671 0.899 0.772
0.208 0.708 0.500
0.625 0.625 0.000
```


# TbTlCo
Calculated powder diffractogram, Cu Kα X-rays. Input: a GGA-PBE-relaxed structure.
Peak positions follow from Bragg's law for the DFT cell and can differ from measured ones.

Largest 12 diffraction maxima, by angle, 10° ≤ 2θ ≤ 90°:
2θ = 26.71°, intensity 50
2θ = 29.85°, intensity 24
2θ = 32.71°, intensity 100
2θ = 34.40°, intensity 91
2θ = 40.84°, intensity 20
2θ = 44.64°, intensity 17
2θ = 46.91°, intensity 65
2θ = 58.36°, intensity 19
2θ = 59.44°, intensity 19
2θ = 63.91°, intensity 32
2θ = 78.01°, intensity 17
2θ = 78.95°, intensity 17

Structural model:
```
TbTlCo
1.0
1.937 1.118 11.048
-1.937 1.118 11.048
0.000 -2.237 11.048
Tb Tl Co
2 2 2
Direct
0.056 0.056 0.056
0.944 0.944 0.944
0.202 0.202 0.202
0.798 0.798 0.798
0.334 0.334 0.334
0.666 0.666 0.666
```


# Tb5Tl4Co
Calculated powder diffractogram, Cu Kα X-rays. Input: a GGA-PBE-relaxed structure.
Peak positions follow from Bragg's law for the DFT cell and can differ from measured ones.

Largest 12 diffraction maxima, by angle, 10° ≤ 2θ ≤ 90°:
2θ = 31.09°, intensity 100
2θ = 34.04°, intensity 24
2θ = 37.02°, intensity 36
2θ = 51.16°, intensity 29
2θ = 53.35°, intensity 12
2θ = 59.09°, intensity 17
2θ = 63.05°, intensity 25
2θ = 64.82°, intensity 14
2θ = 83.50°, intensity 7
2θ = 83.65°, intensity 12
2θ = 87.13°, intensity 5
2θ = 88.71°, intensity 6

Structural model:
```
Tb5Tl4Co
1.0
-5.151 5.151 2.634
5.151 -5.151 2.634
5.151 5.151 -2.634
Tb Tl Co
5 4 1
Direct
0.000 0.000 0.000
0.320 0.671 0.990
0.329 0.320 0.649
0.671 0.680 0.351
0.680 0.329 0.010
0.003 0.327 0.329
0.327 0.997 0.324
0.673 0.003 0.676
0.997 0.673 0.671
0.500 0.500 0.000
```